Computed powder diffractogram
Compound: Li4MnVP3O12
Radiation: CuKα
Structure: a structure optimized by DFT (PBE+U)
Lines closer than 0.1° are merged.

Top 6 peaks for 2θ = 10–80°, by angle:
| Position (°2θ) | intensity |
| --- | --- |
| 14.10 | 861 |
| 19.12 | 773 |
| 23.69 | 1000 |
| 23.96 | 548 |
| 30.75 | 495 |
| 30.99 | 477 |

Structural model:
```
data_Li4MnVP3O12
_symmetry_space_group_name_H-M 'P -1'
_symmetry_Int_Tables_number 2
_symmetry_space_group_name_Hall '-P 1'
_cell_length_a 8.416
_cell_length_b 8.458
_cell_length_c 9.340
_cell_angle_alpha 116.49
_cell_angle_beta 90.62
_cell_angle_gamma 119.42
loop_
_atom_site_label
_atom_site_fract_x
_atom_site_fract_y
_atom_site_fract_z
Li1 0.059 0.369 0.097
Li2 0.207 0.673 0.409
Li3 0.262 0.195 0.866
Li4 0.345 0.081 0.156
Mn1 0.149 0.291 0.441
V1 0.351 0.688 0.029
P1 0.054 0.785 0.247
P2 0.254 0.810 0.762
P3 0.455 0.510 0.246
O1 0.039 0.787 0.410
O2 0.131 0.894 0.754
O3 0.148 0.359 0.890
O4 0.150 0.002 0.261
O5 0.170 0.681 0.178
O6 0.206 0.737 0.895
O7 0.214 0.625 0.592
O8 0.252 0.430 0.268
O9 0.392 0.375 0.594
O10 0.447 0.308 0.105
O11 0.472 0.990 0.828
O12 0.496 0.656 0.173
```